Diffraction record for Sc6MnCo5. The powder X-ray diffraction pattern is calculated, not measured: it uses a DFT-relaxed cell (GGA-PBE, Alexandria) and Cu Kα (λ = 1.5418 Å).
Intensities are scaled so that the largest is 1000.

Structure:
```
data_Sc6MnCo5
_chemical_formula_sum 'Sc12 Mn2 Co10'
_cell_length_a 4.447
_cell_length_b 6.363
_cell_length_c 13.361
_cell_angle_alpha 90.00
_cell_angle_beta 90.00
_cell_angle_gamma 90.00
_symmetry_space_group_name_H-M 'I m m m'
_symmetry_Int_Tables_number 71
_symmetry_space_group_name_Hall '-I 2 2'
loop_
_atom_site_label
_atom_site_type_symbol
_atom_site_fract_x
_atom_site_fract_y
_atom_site_fract_z
Sc1 Sc 0.000 0.238 0.000
Sc2 Sc 0.000 0.256 0.329
Mn1 Mn 0.000 0.000 0.500
Co1 Co 0.000 0.000 0.168
Co2 Co 0.000 0.500 0.160
Co3 Co 0.000 0.500 0.500
```

Top 11 peaks for 5° ≤ 2θ ≤ 70°, in order of rising 2θ:
Position (°2θ), I (rel.), (hkl)
28.0, 17, 0 2 0
28.4, 31, 1 0 3
36.5, 5, 0 1 5
40.3, 1000, 1 2 3
40.5, 491, 2 0 0
50.0, 14, 2 2 0
58.0, 78, 0 4 0
58.7, 149, 2 0 6
65.8, 7, 1 4 3
66.3, 6, 2 2 6
66.4, 5, 3 0 3